Entry 1:
Computed PXRD pattern
Compound: Ti2AlN
Radiation: λ = 1.5418 Å (Cu Kα)
Structure: DFT lattice parameters and positions (GGA-PBE)
Kinematic intensities with the Lorentz-polarization factor, no thermal factor.

Main lines, sorted by position (2θ from 5° to 70°):
2θ (°)	Rel. int.	hkl
13.0	30	0 0 2
34.5	16	1 0 0
35.1	5	1 0 1
39.6	18	0 0 6
39.9	100	1 0 3
43.8	4	1 0 4
48.3	1	1 0 5
53.5	19	1 0 6
59.2	1	1 0 7
61.8	20	1 1 0
63.5	1	1 1 2

Atomic structure:
Cell: 3.0011 3.0011 13.6512 Å, 90.00 90.00 120.00°
Space group P6_3/mmc (No. 194)
One atom of each set of equivalent atoms:
Ti  0.3333  0.6667  0.0854 (multiplicity 4)
Al  0.3333  0.6667  0.7500 (multiplicity 2)
N  0.0000  0.0000  0.0000 (multiplicity 2)



Entry 2:
Computed PXRD pattern
Compound: RbCrSe2
Radiation: λ = 1.5418 Å (Cu Kα)
Structure: DFT lattice parameters and positions (GGA-PBE)
Kinematic intensities with the Lorentz-polarization factor, no thermal factor.

Main lines, sorted by position (2θ from 5° to 70°):
2θ (°)	Rel. int.	hkl
11.4	14	0 0 3
26.7	16	1 0 1
27.6	17	0 1 2
30.6	43	1 0 4
32.8	100	0 1 5
34.6	16	0 0 9
38.0	11	1 0 7
40.9	17	0 1 8
46.7	48	1 1 0
47.4	13	1 0 10
58.2	35	2 0 5
59.4	20	1 1 9

Atomic structure:
Cell: 3.8902 3.8902 23.3430 Å, 90.00 90.00 120.00°
Space group R3m (No. 160, hexagonal axes)
One atom of each set of equivalent atoms:
Rb  0.0000  0.0000  0.0000 (multiplicity 3)
Cr  0.0000  0.0000  0.1674 (multiplicity 3)
Se  0.0000  0.0000  0.5567 (multiplicity 3)
Se  0.0000  0.0000  0.7778 (multiplicity 3)



Entry 3:
Computed PXRD pattern
Compound: WBr6
Radiation: λ = 1.5418 Å (Cu Kα)
Structure: DFT lattice parameters and positions (GGA-PBE)
Kinematic intensities with the Lorentz-polarization factor, no thermal factor.

Main lines, sorted by position (2θ from 5° to 70°):
2θ (°)	Rel. int.	hkl
14.1	32	0 0 3
15.4	82	1 0 1
17.5	53	0 1 2
29.3	100	1 1 3
38.6	45	1 1 6
40.7	10	1 2 2
44.1	13	2 1 4
45.0	28	3 0 0
46.6	12	1 2 5
51.0	26	2 -1 9
54.6	11	4 -2 3
60.8	10	4 -2 6

Atomic structure:
Cell: 6.9733 6.9733 18.7880 Å, 90.00 90.00 120.00°
Space group R-3 (No. 148, hexagonal axes)
One atom of each set of equivalent atoms:
W  0.0000  0.0000  0.0000 (multiplicity 3)
Br  0.0045  0.7119  0.0761 (multiplicity 18)



Q: What is the formula in the third record?
A: WBr6